CsVAg2Cl6: computed powder diffraction line list (Cu Kα, 1.54184 Å), based on DFT lattice parameters and positions (GGA-PBE).
Lines closer than 0.1° are merged.

Top 10 peaks for 2θ from 10° to 80°, sorted by position:
(hkl), 2θ/deg, intensity
0 0 1, 11.17, 100
1 1 1, 15.53, 44
0 0 2, 22.46, 20
0 1 2, 24.13, 39
1 -1 0, 26.26, 62
-1 1 1, 28.57, 24
1 2 -1, 34.71, 54
-1 1 2, 34.81, 34
2 1 3, 34.96, 45
3 0 1, 46.32, 29

Cell and atoms:
Cell lengths 6.775, 6.789, 8.806 Å; angles 67.77, 67.73, 60.12 degrees
Fractional coordinates of all 10 atoms:
Cs  0.000  0.000  0.000
V  0.500  0.500  0.500
Ag  0.183  0.179  0.461
Ag  0.817  0.821  0.539
Cl  0.156  0.739  0.672
Cl  0.267  0.564  0.323
Cl  0.431  0.159  0.676
Cl  0.569  0.841  0.324
Cl  0.733  0.436  0.677
Cl  0.844  0.261  0.328